[1]
For Ca3U3TaN8, a crystal structure in Alexandria, relaxed with GGA-PBE gives the simulated X-ray diffraction stick pattern in this record (λ = 1.5418 Å (Cu Kα)).
No peak broadening, texture or thermal motion is included.

Principal peaks in the range 5° ≤ 2θ ≤ 70°, sorted by position:
2θ 15.5, d 5.708, I 100, hkl 0 0 3; 2θ 30.8, d 2.899, I 53, hkl 0 2 1; 2θ 31.3, d 2.854, I 26, hkl 0 0 6; 2θ 32.2, d 2.782, I 71, hkl 2 0 2; 2θ 37.1, d 2.424, I 74, hkl 0 2 4; 2θ 40.4, d 2.231, I 24, hkl 2 0 5; 2θ 48.4, d 1.881, I 19, hkl 0 2 7; 2θ 52.9, d 1.731, I 25, hkl 2 0 8; 2θ 54.0, d 1.698, I 25, hkl 2 2 0; 2θ 56.5, d 1.628, I 23, hkl 2 2 3; 2θ 63.8, d 1.459, I 23, hkl 2 2 6; 2θ 67.3, d 1.391, I 13, hkl 4 0 4

Atomic structure:
```
data_Ca3U3TaN8
_cell_length_a 6.7934
_cell_length_b 6.7934
_cell_length_c 17.1234
_cell_angle_alpha 90.00
_cell_angle_beta 90.00
_cell_angle_gamma 120.00
_space_group_name_H-M_alt 'R -3 m'
_space_group_IT_number 166
_space_group_name_Hall '-R 3 2"'
loop_
_atom_site_label
_atom_site_type_symbol
_atom_site_fract_x
_atom_site_fract_y
_atom_site_fract_z
Ca1 Ca 0.0000 0.5000 0.0000
U1 U 0.0000 0.5000 0.5000
Ta1 Ta 0.0000 0.0000 0.5000
N1 N 0.0000 0.0000 0.2424
N2 N 0.0202 0.5101 0.2316
```

---

[2]
For CaY2TaN4, a crystal structure in Alexandria, relaxed with GGA-PBE gives the simulated X-ray diffraction stick pattern in this record (λ = 1.5418 Å (Cu Kα)).
No peak broadening, texture or thermal motion is included.

Principal peaks in the range 5° ≤ 2θ ≤ 70°, sorted by position:
2θ 16.5, d 5.373, I 90, hkl 0 2 1; 2θ 28.2, d 3.170, I 23, hkl 1 1 1; 2θ 29.2, d 3.055, I 52, hkl 0 0 4; 2θ 29.9, d 2.991, I 36, hkl 0 4 0; 2θ 30.9, d 2.891, I 70, hkl 1 1 2; 2θ 35.1, d 2.556, I 30, hkl 1 1 3; 2θ 37.7, d 2.387, I 100, hkl 1 3 2; 2θ 39.8, d 2.263, I 30, hkl 0 2 5; 2θ 42.3, d 2.137, I 28, hkl 0 4 4; 2θ 51.8, d 1.766, I 25, hkl 1 5 3; 2θ 57.5, d 1.602, I 17, hkl 1 3 6; 2θ 62.6, d 1.483, I 20, hkl 1 7 2

Atomic structure:
```
data_CaY2TaN4
_cell_length_a 3.413
_cell_length_b 11.964
_cell_length_c 12.222
_cell_angle_alpha 90.00
_cell_angle_beta 90.00
_cell_angle_gamma 90.00
_space_group_name_H-M_alt 'C m c m'
_space_group_IT_number 63
_space_group_name_Hall '-C 2c 2'
loop_
_atom_site_label
_atom_site_type_symbol
_atom_site_fract_x
_atom_site_fract_y
_atom_site_fract_z
Ca1 Ca 0.000 0.109 0.250
Y1 Y 0.000 0.371 0.031
Ta1 Ta 0.000 0.158 0.750
N1 N 0.000 0.000 0.000
N2 N 0.000 0.256 0.624
N3 N 0.000 0.437 0.250
```